Theoretical PXRD pattern of VAs2Pd for copper Kα, from DFT lattice parameters and positions (PBE).
Neutral-atom scattering factors, no anomalous dispersion.

Top 6 peaks for 2θ from 10° to 90°, sorted by position:
2theta	d_spacing	intensity
27.58	3.234	100.0
45.45	1.996	24.6
46.00	1.973	47.7
53.99	1.698	29.0
54.96	1.671	13.9
84.39	1.148	15.4

Atomic structure:
```
16
Lattice="5.645 0.000 0.000 0.000 5.645 0.000 0.000 0.000 11.038" Properties=species:S:1:pos:R:3 pbc="T T T"
V 0.000 0.000 0.000
V 0.000 2.822 2.760
V 2.822 0.000 8.279
V 2.822 2.822 5.519
As 1.340 1.411 1.380
As 1.411 4.162 4.139
As 1.411 4.305 9.658
As 1.483 1.411 6.899
As 4.162 4.234 6.899
As 4.234 1.340 9.658
As 4.234 1.483 4.139
As 4.305 4.234 1.380
Pd 0.000 0.000 5.519
Pd 0.000 2.822 8.279
Pd 2.822 0.000 2.760
Pd 2.822 2.822 0.000
```

---

Theoretical PXRD pattern of V2As3Pd3 for copper Kα, from DFT lattice parameters and positions (PBE).
Neutral-atom scattering factors, no anomalous dispersion.

Top 6 peaks for 2θ from 10° to 90°, sorted by position:
2theta	d_spacing	intensity
34.50	2.600	27.5
37.41	2.404	30.0
41.40	2.181	100.0
42.64	2.121	60.2
66.54	1.405	33.7
84.91	1.142	12.5

Atomic structure:
```
16
Lattice="7.340 0.000 0.000 -3.670 6.357 0.000 0.000 0.000 5.200" Properties=species:S:1:pos:R:3 pbc="T T T"
V 0.000 4.238 0.000
V 0.000 4.238 2.600
V 3.670 2.119 0.000
V 3.670 2.119 2.600
As -1.453 2.517 1.300
As -2.217 3.839 3.900
As 2.907 0.000 1.300
As 1.453 2.517 3.900
As 4.433 0.000 3.900
As 2.217 3.839 1.300
Pd -0.890 1.541 3.900
Pd -2.780 4.815 1.300
Pd 1.780 0.000 3.900
Pd 0.890 1.541 1.300
Pd 5.560 0.000 1.300
Pd 2.780 4.815 3.900
```

---

Theoretical PXRD pattern of YAs3Pd3 for copper Kα, from DFT lattice parameters and positions (PBE).
Neutral-atom scattering factors, no anomalous dispersion.

Top 6 peaks for 2θ from 10° to 90°, sorted by position:
2theta	d_spacing	intensity
18.39	4.825	23.6
26.12	3.412	43.2
32.13	2.786	100.0
46.08	1.970	34.4
50.02	1.824	56.3
53.73	1.706	31.2

Atomic structure:
```
14
Lattice="6.823 0.000 0.000 0.000 6.823 0.000 0.000 0.000 6.823" Properties=species:S:1:pos:R:3 pbc="T T T"
Y 0.000 0.000 0.000
Y 3.412 3.412 3.412
As 0.000 1.706 3.412
As 0.000 5.118 3.412
As 1.706 3.412 0.000
As 3.412 0.000 1.706
As 3.412 0.000 5.118
As 5.118 3.412 0.000
Pd 0.000 3.412 1.706
Pd 0.000 3.412 5.118
Pd 1.706 0.000 3.412
Pd 3.412 1.706 0.000
Pd 3.412 5.118 0.000
Pd 5.118 0.000 3.412
```

---

Theoretical PXRD pattern of Y3As4Pd7 for copper Kα, from DFT lattice parameters and positions (PBE).
Neutral-atom scattering factors, no anomalous dispersion.

Top 6 peaks for 2θ from 10° to 90°, sorted by position:
2theta	d_spacing	intensity
35.18	2.551	100.0
35.92	2.500	78.3
36.52	2.460	34.1
38.56	2.335	41.2
42.47	2.128	35.9
43.75	2.069	67.8

Atomic structure:
```
14
Lattice="7.871 -2.069 0.000 7.871 2.069 0.000 -5.627 0.000 7.805" Properties=species:S:1:pos:R:3 pbc="T T T"
Y 0.000 0.000 0.000
Y 3.221 0.000 2.544
Y 6.894 0.000 5.261
As -2.959 0.000 6.423
As 1.158 0.000 5.830
As 8.958 0.000 1.974
As 13.075 0.000 1.382
Pd -2.814 0.000 3.902
Pd 0.213 0.000 3.325
Pd -0.660 0.000 7.602
Pd 3.704 0.000 5.515
Pd 6.411 0.000 2.289
Pd 10.776 0.000 0.202
Pd 9.902 0.000 4.480
```

---

Theoretical PXRD pattern of Zr4AsPd for copper Kα, from DFT lattice parameters and positions (PBE).
Neutral-atom scattering factors, no anomalous dispersion.

Top 6 peaks for 2θ from 10° to 90°, sorted by position:
2theta	d_spacing	intensity
34.27	2.617	100.0
37.94	2.371	41.7
42.70	2.118	35.1
42.97	2.105	48.6
59.27	1.559	19.7
68.94	1.362	22.3

Atomic structure:
```
12
Lattice="6.656 0.000 0.000 0.000 6.656 0.000 0.000 0.000 5.491" Properties=species:S:1:pos:R:3 pbc="T T T"
Zr 1.032 2.283 0.000
Zr 1.032 4.372 2.745
Zr 2.283 1.032 2.745
Zr 2.283 5.623 0.000
Zr 4.372 1.032 0.000
Zr 4.372 5.623 2.745
Zr 5.623 2.283 2.745
Zr 5.623 4.372 0.000
As 0.000 0.000 1.373
As 0.000 0.000 4.118
Pd 3.328 3.328 1.373
Pd 3.328 3.328 4.118
```

---

Theoretical PXRD pattern of Zr2AsPd2 for copper Kα, from DFT lattice parameters and positions (PBE).
Neutral-atom scattering factors, no anomalous dispersion.

Top 6 peaks for 2θ from 10° to 90°, sorted by position:
2theta	d_spacing	intensity
34.81	2.577	17.9
37.10	2.423	100.0
40.10	2.249	36.3
48.68	1.871	15.0
64.83	1.438	17.0
76.50	1.245	12.0

Atomic structure:
```
10
Lattice="7.112 0.000 0.000 0.000 7.112 0.000 0.000 0.000 3.741" Properties=species:S:1:pos:R:3 pbc="T T T"
Zr 1.219 2.337 0.000
Zr 2.337 5.893 0.000
Zr 4.774 1.219 0.000
Zr 5.893 4.774 0.000
As 0.000 0.000 1.871
As 3.556 3.556 1.871
Pd 0.937 4.492 1.871
Pd 2.619 0.937 1.871
Pd 4.492 6.175 1.871
Pd 6.175 2.619 1.871
```

---

Theoretical PXRD pattern of PmAs4 for copper Kα, from DFT lattice parameters and positions (PBE).
Neutral-atom scattering factors, no anomalous dispersion.

Top 6 peaks for 2θ from 10° to 90°, sorted by position:
2theta	d_spacing	intensity
16.13	5.496	57.3
22.88	3.886	50.6
32.58	2.748	100.0
36.56	2.458	30.3
46.75	1.943	72.4
77.70	1.229	32.0

Atomic structure:
```
5
Lattice="5.496 0.000 0.000 0.000 5.496 0.000 0.000 0.000 5.496" Properties=species:S:1:pos:R:3 pbc="T T T"
Pm 0.000 0.000 0.000
As 0.000 0.000 2.748
As 0.000 2.748 0.000
As 2.748 0.000 0.000
As 2.748 2.748 2.748
```

---

Theoretical PXRD pattern of Pm2Pr2As5 for copper Kα, from DFT lattice parameters and positions (PBE).
Neutral-atom scattering factors, no anomalous dispersion.

Top 6 peaks for 2θ from 10° to 90°, sorted by position:
2theta	d_spacing	intensity
30.75	2.908	69.9
32.41	2.763	39.7
32.96	2.718	38.7
34.50	2.599	100.0
36.65	2.452	49.1
37.01	2.429	47.3

Atomic structure:
```
18
Lattice="7.804 -3.883 0.000 7.804 3.883 0.000 0.000 0.000 7.860" Properties=species:S:1:pos:R:3 pbc="T T T"
Pm 2.925 0.000 0.000
Pm 4.879 0.000 3.930
Pm 10.729 0.000 3.930
Pm 12.684 0.000 0.000
Pr 7.804 2.580 5.263
Pr 7.804 1.303 1.333
Pr 7.804 -1.303 6.528
Pr 7.804 -2.580 2.598
As 0.000 0.000 0.000
As 2.200 0.949 4.890
As 5.605 0.949 6.901
As 2.200 -0.949 2.970
As 5.605 -0.949 0.960
As 7.804 0.000 3.930
As 10.004 0.949 6.901
As 13.409 0.949 4.890
As 10.004 -0.949 0.960
As 13.409 -0.949 2.970
```

---

Theoretical PXRD pattern of Pm4PrTh3As8 for copper Kα, from DFT lattice parameters and positions (PBE).
Neutral-atom scattering factors, no anomalous dispersion.

Top 6 peaks for 2θ from 10° to 90°, sorted by position:
2theta	d_spacing	intensity
25.66	3.472	28.1
29.71	3.007	100.0
42.51	2.126	75.7
52.68	1.737	20.3
69.89	1.346	17.4
77.75	1.228	19.5

Atomic structure:
```
16
Lattice="4.257 2.458 6.930 -4.257 2.458 6.930 0.000 -4.916 6.930" Properties=species:S:1:pos:R:3 pbc="T T T"
Pm 0.000 0.000 0.000
Pm -2.129 -1.229 6.930
Pm -2.129 1.229 13.861
Pm 0.000 2.458 6.930
Pr 0.000 0.000 10.396
Th -4.257 0.000 10.396
Th -2.129 1.229 3.465
Th 2.129 1.229 3.465
As -2.147 -1.239 12.128
As 0.000 -2.479 8.663
As -2.147 1.239 8.663
As 0.000 0.000 5.192
As 0.000 0.000 15.599
As 2.147 -1.239 12.128
As 0.000 2.479 12.128
As 2.147 1.239 8.663
```

---

Theoretical PXRD pattern of PmAsPt4 for copper Kα, from DFT lattice parameters and positions (PBE).
Neutral-atom scattering factors, no anomalous dispersion.

Top 6 peaks for 2θ from 10° to 90°, sorted by position:
2theta	d_spacing	intensity
12.44	7.115	19.7
34.75	2.582	100.0
35.24	2.547	44.7
37.94	2.372	29.0
41.30	2.186	84.5
43.12	2.098	43.3

Atomic structure:
```
12
Lattice="7.377 0.000 0.000 0.000 4.196 0.000 0.000 0.000 7.115" Properties=species:S:1:pos:R:3 pbc="T T T"
Pm 1.844 0.000 0.957
Pm 5.533 0.000 6.158
As 1.844 0.000 5.202
As 5.533 0.000 1.914
Pt 0.000 0.000 3.558
Pt 0.374 2.098 5.729
Pt 1.844 2.098 3.091
Pt 3.314 2.098 5.729
Pt 3.689 0.000 3.558
Pt 4.063 2.098 1.387
Pt 5.533 2.098 4.024
Pt 7.003 2.098 1.387
```